# Ba2SiAsP
Calculated X-ray diffraction stick pattern, Cu Kα (λ = 1.5418 Å). Input: a crystal structure in Alexandria, relaxed with GGA-PBE.
Kinematic intensities with the Lorentz-polarization factor, no thermal factor.

Most intense lines, 2θ = 15–90°, in order of rising 2θ:
- 2θ 22.8, intensity 40
- 2θ 23.2, intensity 65
- 2θ 30.4, intensity 92
- 2θ 30.7, intensity 100
- 2θ 30.7, intensity 99
- 2θ 40.3, intensity 93
- 2θ 41.0, intensity 32
- 2θ 51.9, intensity 40
- 2θ 58.4, intensity 39
- 2θ 67.5, intensity 39

Cell and atoms:
```
data_Ba2SiAsP
_cell_length_a 7.7996
_cell_length_b 4.3998
_cell_length_c 8.9357
_cell_angle_alpha 90.00
_cell_angle_beta 90.06
_cell_angle_gamma 90.00
_space_group_name_H-M_alt 'P 1'
_space_group_IT_number 1
loop_
_space_group_symop_operation_xyz
'x,y,z'
loop_
_atom_site_label
_atom_site_type_symbol
_atom_site_fract_x
_atom_site_fract_y
_atom_site_fract_z
Ba1 Ba 0.2472 0.2500 0.0082
Ba2 Ba 0.2473 0.2500 0.4912
Ba3 Ba 0.7527 0.7500 0.5088
Ba4 Ba 0.7528 0.7500 0.9918
Si1 Si 0.4124 0.7500 0.7496
Si2 Si 0.5876 0.2500 0.2504
As1 As 0.1099 0.7500 0.7497
As2 As 0.8901 0.2500 0.2503
P1 P 0.4617 0.7500 0.2497
P2 P 0.5383 0.2500 0.7503
```

# Th7Tc2Pt2
Calculated X-ray diffraction stick pattern, Cu Kα (λ = 1.5418 Å). Input: a crystal structure in Alexandria, relaxed with GGA-PBE.
Kinematic intensities with the Lorentz-polarization factor, no thermal factor.

Most intense lines, 2θ = 15–90°, in order of rising 2θ:
- 2θ 28.3, intensity 23
- 2θ 28.6, intensity 26
- 2θ 29.8, intensity 43
- 2θ 30.3, intensity 25
- 2θ 33.0, intensity 45
- 2θ 33.6, intensity 100
- 2θ 34.1, intensity 46
- 2θ 38.0, intensity 29
- 2θ 45.6, intensity 29
- 2θ 50.9, intensity 28

Cell and atoms:
```
data_Th7Tc2Pt2
_cell_length_a 9.3198
_cell_length_b 9.3198
_cell_length_c 9.3198
_cell_angle_alpha 155.35
_cell_angle_beta 67.47
_cell_angle_gamma 118.32
_space_group_name_H-M_alt 'P 1'
_space_group_IT_number 1
loop_
_space_group_symop_operation_xyz
'x,y,z'
loop_
_atom_site_label
_atom_site_type_symbol
_atom_site_fract_x
_atom_site_fract_y
_atom_site_fract_z
Th1 Th 0.0000 0.0000 0.0000
Th2 Th 0.0870 0.4008 0.6861
Th3 Th 0.1303 0.7636 0.3668
Th4 Th 0.3968 0.7636 0.6332
Th5 Th 0.4964 0.6149 0.8815
Th6 Th 0.7147 0.4008 0.3139
Th7 Th 0.7334 0.6149 0.1185
Tc1 Tc 0.3331 0.0876 0.2455
Tc2 Tc 0.8421 0.0876 0.7545
Pt1 Pt 0.3441 0.3441 0.0000
Pt2 Pt 0.7597 0.2597 0.5000
```

# Pr2ZnPdO5
Calculated X-ray diffraction stick pattern, Cu Kα (λ = 1.5418 Å). Input: a crystal structure in Alexandria, relaxed with GGA-PBE.
Kinematic intensities with the Lorentz-polarization factor, no thermal factor.

Most intense lines, 2θ = 15–90°, in order of rising 2θ:
- 2θ 18.2, intensity 20
- 2θ 29.0, intensity 25
- 2θ 30.3, intensity 100
- 2θ 31.3, intensity 37
- 2θ 33.1, intensity 66
- 2θ 37.0, intensity 24
- 2θ 43.2, intensity 47
- 2θ 44.6, intensity 22
- 2θ 55.1, intensity 27
- 2θ 56.8, intensity 23

Cell and atoms:
```
data_Pr2ZnPdO5
_cell_length_a 6.8778
_cell_length_b 6.8778
_cell_length_c 5.7139
_cell_angle_alpha 90.00
_cell_angle_beta 90.00
_cell_angle_gamma 90.00
_space_group_name_H-M_alt 'P 1'
_space_group_IT_number 1
loop_
_space_group_symop_operation_xyz
'x,y,z'
loop_
_atom_site_label
_atom_site_type_symbol
_atom_site_fract_x
_atom_site_fract_y
_atom_site_fract_z
Pr1 Pr 0.1727 0.3273 0.0000
Pr2 Pr 0.3273 0.8273 0.0000
Pr3 Pr 0.6727 0.1727 0.0000
Pr4 Pr 0.8273 0.6727 0.0000
Zn1 Zn 0.0000 0.0000 0.5000
Zn2 Zn 0.5000 0.5000 0.5000
Pd1 Pd 0.0000 0.5000 0.5000
Pd2 Pd 0.5000 0.0000 0.5000
O1 O 0.0000 0.0000 0.0000
O2 O 0.1418 0.6418 0.2515
O3 O 0.1418 0.6418 0.7485
O4 O 0.3582 0.1418 0.2515
O5 O 0.3582 0.1418 0.7485
O6 O 0.5000 0.5000 0.0000
O7 O 0.6418 0.8582 0.2515
O8 O 0.6418 0.8582 0.7485
O9 O 0.8582 0.3582 0.2515
O10 O 0.8582 0.3582 0.7485
```

# AcYCu10
Calculated X-ray diffraction stick pattern, Cu Kα (λ = 1.5418 Å). Input: a crystal structure in Alexandria, relaxed with GGA-PBE.
Kinematic intensities with the Lorentz-polarization factor, no thermal factor.

Most intense lines, 2θ = 15–90°, in order of rising 2θ:
- 2θ 29.5, intensity 69
- 2θ 34.8, intensity 30
- 2θ 40.2, intensity 35
- 2θ 41.1, intensity 51
- 2θ 41.3, intensity 100
- 2θ 44.1, intensity 40
- 2θ 61.2, intensity 20
- 2θ 66.5, intensity 23
- 2θ 79.2, intensity 19
- 2θ 89.8, intensity 18

Cell and atoms:
```
data_AcYCu10
_cell_length_a 4.1060
_cell_length_b 5.1921
_cell_length_c 8.9216
_cell_angle_alpha 90.00
_cell_angle_beta 90.00
_cell_angle_gamma 90.00
_space_group_name_H-M_alt 'P 1'
_space_group_IT_number 1
loop_
_space_group_symop_operation_xyz
'x,y,z'
loop_
_atom_site_label
_atom_site_type_symbol
_atom_site_fract_x
_atom_site_fract_y
_atom_site_fract_z
Ac1 Ac 0.0000 0.0000 0.0000
Y1 Y 0.0000 0.5000 0.5000
Cu1 Cu 0.0000 0.0000 0.3427
Cu2 Cu 0.0000 0.0000 0.6573
Cu3 Cu 0.0000 0.5000 0.1771
Cu4 Cu 0.0000 0.5000 0.8229
Cu5 Cu 0.5000 0.0000 0.5000
Cu6 Cu 0.5000 0.2558 0.2600
Cu7 Cu 0.5000 0.2558 0.7400
Cu8 Cu 0.5000 0.5000 0.0000
Cu9 Cu 0.5000 0.7442 0.2600
Cu10 Cu 0.5000 0.7442 0.7400
```

# Tc5Ru4
Calculated X-ray diffraction stick pattern, Cu Kα (λ = 1.5418 Å). Input: a crystal structure in Alexandria, relaxed with GGA-PBE.
Kinematic intensities with the Lorentz-polarization factor, no thermal factor.

Most intense lines, 2θ = 15–90°, in order of rising 2θ:
- 2θ 40.5, intensity 100
- 2θ 47.1, intensity 32
- 2θ 47.3, intensity 16
- 2θ 68.9, intensity 10
- 2θ 69.0, intensity 20
- 2θ 83.1, intensity 24
- 2θ 83.3, intensity 12
- 2θ 87.7, intensity 11

Cell and atoms:
```
data_Tc5Ru4
_cell_length_a 6.0969
_cell_length_b 6.0969
_cell_length_c 6.0969
_cell_angle_alpha 95.71
_cell_angle_beta 95.71
_cell_angle_gamma 143.22
_space_group_name_H-M_alt 'P 1'
_space_group_IT_number 1
loop_
_space_group_symop_operation_xyz
'x,y,z'
loop_
_atom_site_label
_atom_site_type_symbol
_atom_site_fract_x
_atom_site_fract_y
_atom_site_fract_z
Tc1 Tc 0.0000 0.0000 0.0000
Tc2 Tc 0.3324 0.3324 0.6647
Tc3 Tc 0.3324 0.6676 0.0000
Tc4 Tc 0.6676 0.3324 0.0000
Tc5 Tc 0.6676 0.6676 0.3353
Ru1 Ru 0.0000 0.3339 0.3339
Ru2 Ru 0.0000 0.6661 0.6661
Ru3 Ru 0.3339 0.0000 0.3339
Ru4 Ru 0.6661 0.0000 0.6661
```

# La2Zn3Cu2
Calculated X-ray diffraction stick pattern, Cu Kα (λ = 1.5418 Å). Input: a crystal structure in Alexandria, relaxed with GGA-PBE.
Kinematic intensities with the Lorentz-polarization factor, no thermal factor.

Most intense lines, 2θ = 15–90°, in order of rising 2θ:
- 2θ 28.9, intensity 51
- 2θ 32.9, intensity 69
- 2θ 33.3, intensity 70
- 2θ 35.7, intensity 67
- 2θ 36.9, intensity 100
- 2θ 38.3, intensity 39
- 2θ 38.7, intensity 49
- 2θ 39.8, intensity 94
- 2θ 41.8, intensity 77
- 2θ 58.3, intensity 38

Cell and atoms:
```
data_La2Zn3Cu2
_cell_length_a 10.3433
_cell_length_b 4.3172
_cell_length_c 7.0475
_cell_angle_alpha 90.00
_cell_angle_beta 115.98
_cell_angle_gamma 90.00
_space_group_name_H-M_alt 'P 1'
_space_group_IT_number 1
loop_
_space_group_symop_operation_xyz
'x,y,z'
loop_
_atom_site_label
_atom_site_type_symbol
_atom_site_fract_x
_atom_site_fract_y
_atom_site_fract_z
La1 La 0.1442 0.0000 0.2698
La2 La 0.3558 0.5000 0.7302
La3 La 0.6442 0.5000 0.2698
La4 La 0.8558 0.0000 0.7302
Zn1 Zn 0.0000 0.5000 0.5000
Zn2 Zn 0.1280 0.5000 0.9273
Zn3 Zn 0.3720 0.0000 0.0727
Zn4 Zn 0.5000 0.0000 0.5000
Zn5 Zn 0.6280 0.0000 0.9273
Zn6 Zn 0.8720 0.5000 0.0727
Cu1 Cu 0.1358 0.0000 0.7116
Cu2 Cu 0.3642 0.5000 0.2884
Cu3 Cu 0.6358 0.5000 0.7116
Cu4 Cu 0.8642 0.0000 0.2884
```

# Tb12SmNi6
Calculated X-ray diffraction stick pattern, Cu Kα (λ = 1.5418 Å). Input: a crystal structure in Alexandria, relaxed with GGA-PBE.
Kinematic intensities with the Lorentz-polarization factor, no thermal factor.

Most intense lines, 2θ = 15–90°, in order of rising 2θ:
- 2θ 28.6, intensity 50
- 2θ 31.4, intensity 32
- 2θ 33.9, intensity 100
- 2θ 46.9, intensity 24
- 2θ 54.1, intensity 33
- 2θ 55.8, intensity 16
- 2θ 57.5, intensity 33
- 2θ 67.0, intensity 16
- 2θ 82.9, intensity 17
- 2θ 84.3, intensity 16

Cell and atoms:
```
data_Tb12SmNi6
_cell_length_a 8.5590
_cell_length_b 8.5590
_cell_length_c 8.5590
_cell_angle_alpha 109.47
_cell_angle_beta 109.47
_cell_angle_gamma 109.47
_space_group_name_H-M_alt 'P 1'
_space_group_IT_number 1
loop_
_space_group_symop_operation_xyz
'x,y,z'
loop_
_atom_site_label
_atom_site_type_symbol
_atom_site_fract_x
_atom_site_fract_y
_atom_site_fract_z
Tb1 Tb 0.1273 0.3116 0.8158
Tb2 Tb 0.1842 0.4958 0.3116
Tb3 Tb 0.1842 0.8727 0.6884
Tb4 Tb 0.3116 0.1842 0.4958
Tb5 Tb 0.3116 0.8158 0.1273
Tb6 Tb 0.4958 0.3116 0.1842
Tb7 Tb 0.5042 0.6884 0.8158
Tb8 Tb 0.6884 0.1842 0.8727
Tb9 Tb 0.6884 0.8158 0.5042
Tb10 Tb 0.8158 0.1273 0.3116
Tb11 Tb 0.8158 0.5042 0.6884
Tb12 Tb 0.8727 0.6884 0.1842
Sm1 Sm 0.0000 0.0000 0.0000
Ni1 Ni 0.1237 0.5000 0.6237
Ni2 Ni 0.3763 0.8763 0.5000
Ni3 Ni 0.5000 0.3763 0.8763
Ni4 Ni 0.5000 0.6237 0.1237
Ni5 Ni 0.6237 0.1237 0.5000
Ni6 Ni 0.8763 0.5000 0.3763
```

# La2CeCd3
Calculated X-ray diffraction stick pattern, Cu Kα (λ = 1.5418 Å). Input: a crystal structure in Alexandria, relaxed with GGA-PBE.
Kinematic intensities with the Lorentz-polarization factor, no thermal factor.

Most intense lines, 2θ = 15–90°, in order of rising 2θ:
- 2θ 32.4, intensity 100
- 2θ 46.3, intensity 6
- 2θ 46.6, intensity 12
- 2θ 57.8, intensity 12
- 2θ 57.9, intensity 25
- 2θ 67.9, intensity 7
- 2θ 68.1, intensity 4
- 2θ 77.0, intensity 5
- 2θ 77.5, intensity 10
- 2θ 86.4, intensity 4

Cell and atoms:
```
data_La2CeCd3
_cell_length_a 3.8950
_cell_length_b 3.8950
_cell_length_c 11.7544
_cell_angle_alpha 90.00
_cell_angle_beta 90.00
_cell_angle_gamma 90.00
_space_group_name_H-M_alt 'P 1'
_space_group_IT_number 1
loop_
_space_group_symop_operation_xyz
'x,y,z'
loop_
_atom_site_label
_atom_site_type_symbol
_atom_site_fract_x
_atom_site_fract_y
_atom_site_fract_z
La1 La 0.0000 0.0000 0.1694
La2 La 0.0000 0.0000 0.8306
Ce1 Ce 0.0000 0.0000 0.5000
Cd1 Cd 0.5000 0.5000 0.0000
Cd2 Cd 0.5000 0.5000 0.3400
Cd3 Cd 0.5000 0.5000 0.6600
```